For Nd6Fe13Bi, a PBE-relaxed structure gives the calculated powder diffraction line list in this record (copper Kα).
Lines closer than 0.1° are merged.

Peak list (10 most intense, 10° ≤ 2θ ≤ 90°, by intensity)
| two_theta | d (Å) | I (rel.) |
| --- | --- | --- |
| 35.3 | 2.540 | 100 |
| 27.3 | 3.265 | 72 |
| 31.3 | 2.854 | 67 |
| 38.0 | 2.370 | 64 |
| 31.9 | 2.804 | 48 |
| 42.8 | 2.112 | 46 |
| 34.4 | 2.608 | 41 |
| 27.7 | 3.224 | 39 |
| 31.5 | 2.840 | 35 |
| 46.8 | 1.942 | 34 |

Unit cell a=13.0469 b=13.0469 c=13.0469 alpha=144.14 beta=144.14 gamma=51.62
Fractional positions:
Nd1 0.0227 0.5227 0.1774
Nd2 0.1033 0.1033 0.0000
Nd3 0.1546 0.9773 0.5000
Nd4 0.3454 0.8454 0.8226
Nd5 0.3967 0.3967 0.0000
Nd6 0.4773 0.6546 0.5000
Nd7 0.5227 0.3454 0.5000
Nd8 0.6033 0.6033 0.0000
Nd9 0.6546 0.1546 0.1774
Nd10 0.8454 0.0227 0.5000
Nd11 0.8967 0.8967 0.0000
Nd12 0.9773 0.4773 0.8226
Fe1 0.0000 0.5000 0.5000
Fe2 0.0204 0.2931 0.5000
Fe3 0.0670 0.2098 0.2768
Fe4 0.1202 0.6202 0.8572
Fe5 0.2069 0.4796 0.5000
Fe6 0.2098 0.9330 0.1429
Fe7 0.2370 0.7370 0.8572
Fe8 0.2630 0.1202 0.5000
Fe9 0.2902 0.4330 0.7232
Fe10 0.2931 0.7931 0.2726
Fe11 0.3798 0.2370 0.5000
Fe12 0.4330 0.7098 0.1429
Fe13 0.4796 0.9796 0.2726
Fe14 0.5000 0.0000 0.5000
Fe15 0.5204 0.0204 0.7274
Fe16 0.5670 0.2902 0.8571
Fe17 0.6202 0.7630 0.5000
Fe18 0.7069 0.2069 0.7274
Fe19 0.7098 0.5670 0.2768
Fe20 0.7370 0.8798 0.5000
Fe21 0.7630 0.2630 0.1428
Fe22 0.7902 0.0670 0.8571
Fe23 0.7931 0.5204 0.5000
Fe24 0.8798 0.3798 0.1428
Fe25 0.9330 0.7902 0.7232
Fe26 0.9796 0.7069 0.5000
Bi1 0.2500 0.2500 0.0000
Bi2 0.7500 0.7500 0.0000